For MnBePO5, a crystal structure in the Materials Project, relaxed with PBE+U gives the calculated powder XRD pattern in this record (Cu Kα X-rays).
Peak positions follow from Bragg's law for the DFT cell and can differ from measured ones.

```
data_MnBePO5
_chemical_formula_sum 'Mn4 Be4 P4 O20'
_space_group_name_H-M_alt 'P 1 21/c 1'
_space_group_IT_number 14
_cell_length_a 4.768
_cell_length_b 14.064
_cell_length_c 5.461
_cell_angle_alpha 90.00
_cell_angle_beta 103.82
_cell_angle_gamma 90.00
loop_
_space_group_symop_operation_xyz
'x,y,z'
'-x,-y,-z'
'-x,y+1/2,-z+1/2'
'x,-y+1/2,z+1/2'
loop_
_atom_site_label
_atom_site_type_symbol
_atom_site_fract_x
_atom_site_fract_y
_atom_site_fract_z
Mn1 Mn 0.115 0.073 0.246
Be1 Be 0.219 0.241 0.052
P1 P 0.473 0.104 0.787
O1 O 0.061 0.205 0.284
O2 O 0.232 0.552 0.610
O3 O 0.261 0.034 0.611
O4 O 0.341 0.132 0.013
O5 O 0.492 0.695 0.847
```

Top 10 peaks for 10° ≤ 2θ ≤ 80°, sorted by position:
d 7.032, I = 56, hkl 0 2 0; d 4.397, I = 55, hkl 1 1 0; d 3.471, I = 100, hkl 1 2 -1; d 3.294, I = 20, hkl 1 3 0; d 3.061, I = 18, hkl 1 1 1; d 2.864, I = 67, hkl 1 2 1; d 2.651, I = 24, hkl 0 0 2; d 2.638, I = 21, hkl 1 4 -1; d 2.305, I = 22, hkl 2 1 -1; d 2.094, I = 18, hkl 1 0 2


For BiW2Br8O2, a crystal structure in the Materials Project, relaxed with PBE+U gives the calculated powder XRD pattern in this record (Cu Kα X-rays).
Peak positions follow from Bragg's law for the DFT cell and can differ from measured ones.

```
data_BiW2Br8O2
_chemical_formula_sum 'Bi2 W4 Br16 O4'
_space_group_name_H-M_alt 'P -1'
_space_group_IT_number 2
_cell_length_a 7.799
_cell_length_b 9.415
_cell_length_c 11.639
_cell_angle_alpha 89.42
_cell_angle_beta 80.30
_cell_angle_gamma 88.52
loop_
_space_group_symop_operation_xyz
'x,y,z'
'-x,-y,-z'
loop_
_atom_site_label
_atom_site_type_symbol
_atom_site_fract_x
_atom_site_fract_y
_atom_site_fract_z
Bi1 Bi 0.126 0.335 0.086
W1 W 0.216 0.885 0.646
W2 W 0.284 0.105 0.355
Br1 Br 0.098 0.631 0.095
Br2 Br 0.153 0.951 0.860
Br3 Br 0.209 0.621 0.692
Br4 Br 0.227 0.165 0.580
Br5 Br 0.279 0.830 0.417
Br6 Br 0.290 0.375 0.295
Br7 Br 0.327 0.037 0.142
Br8 Br 0.398 0.341 0.918
O1 O 0.024 0.107 0.362
O2 O 0.460 0.892 0.642
```

Top 10 peaks for 10° ≤ 2θ ≤ 80°, sorted by position:
d 7.297, I = 100, hkl 0 1 1; d 3.843, I = 45, hkl 2 0 0; d 3.591, I = 18, hkl 2 1 1; d 3.022, I = 40, hkl 0 3 -1; d 2.971, I = 22, hkl 2 0 3; d 2.868, I = 17, hkl 0 0 4; d 2.749, I = 17, hkl 0 1 4; d 2.353, I = 15, hkl 0 4 0; d 1.949, I = 19, hkl 4 0 1; d 1.847, I = 11, hkl 0 3 -5